The following is a calculated X-ray diffraction stick pattern of Tb2SbI2. It was derived from a DFT-relaxed cell (GGA-PBE, Alexandria), using Cu Kα, 1.54184 Å.
Intensities are scaled so that the largest is 100.

Unit cell a=4.3542 b=4.3542 c=33.7725 alpha=90.00 beta=90.00 gamma=120.00
Space group R-3m (No. 166, hexagonal axes)
Symmetry-distinct sites (fractional):
Tb (0.0000, 0.0000, 0.1164) (multiplicity 6)
Sb (0.0000, 0.0000, 0.5000) (multiplicity 3)
I (0.0000, 0.0000, 0.2747) (multiplicity 6)

Top 10 peaks for 2θ from 10° to 90°, sorted by position:
hkl, 2θ/deg, I (rel.)
0 1 5, 27.08, 100
0 1 8, 31.82, 51
1 1 0, 41.48, 46
1 0 13, 42.25, 47
2 0 5, 50.24, 18
2 0 8, 53.20, 15
0 2 13, 60.69, 14
1 1 18, 65.70, 19
1 2 5, 67.12, 15
2 1 13, 76.19, 14